No. 1
Starting from a structure optimized by DFT (PBE), the X-ray powder pattern of Ba2Sr6Ca5 was computed for Cu Kα (λ = 1.5418 Å).
Intensities are scaled so that the largest is 100.

Atomic structure:
a b c (Å): 13.8519 23.6561 4.1011
angles (deg): 90.00 90.00 90.00
Sites, in units of the cell vectors:
1 Ba 0.1618 0.2134 0.0000
2 Ba 0.3382 0.7134 0.0000
3 Ba 0.6618 0.2866 0.0000
4 Ba 0.8382 0.7866 0.0000
5 Sr 0.0478 0.9217 0.0000
6 Sr 0.0700 0.6362 0.0000
7 Sr 0.1919 0.3814 0.5000
8 Sr 0.3081 0.8814 0.5000
9 Sr 0.4300 0.1362 0.0000
10 Sr 0.4522 0.4217 0.0000
11 Sr 0.5478 0.5783 0.0000
12 Sr 0.5700 0.8638 0.0000
13 Sr 0.6919 0.1186 0.5000
14 Sr 0.8081 0.6186 0.5000
15 Sr 0.9300 0.3638 0.0000
16 Sr 0.9522 0.0783 0.0000
17 Ca 0.0000 0.5000 0.5000
18 Ca 0.0954 0.7773 0.5000
19 Ca 0.2144 0.0482 0.5000
20 Ca 0.2856 0.5482 0.5000
21 Ca 0.4046 0.2773 0.5000
22 Ca 0.5000 0.0000 0.5000
23 Ca 0.5954 0.7227 0.5000
24 Ca 0.7144 0.4518 0.5000
25 Ca 0.7856 0.9518 0.5000
26 Ca 0.9046 0.2227 0.5000

The 8 most intense peaks (10 to 90 degrees two-theta), by angle:
2theta	d (Å)	I_rel
23.46	3.792	29
23.85	3.732	33
26.00	3.426	72
26.98	3.304	43
27.19	3.280	100
27.70	3.221	98
29.48	3.030	46
31.30	2.858	34


No. 2
Starting from a structure optimized by DFT (PBE), the X-ray powder pattern of Ba3Sr2Ca2Tl4 was computed for Cu Kα (λ = 1.5418 Å).
Intensities are scaled so that the largest is 100.

Atomic structure:
a b c (Å): 5.9043 5.9043 14.7793
angles (deg): 90.00 90.00 120.00
Sites, in units of the cell vectors:
1 Ba 0.0000 0.0000 0.0000
2 Ba 0.0000 0.0000 0.2767
3 Ba 0.0000 0.0000 0.7233
4 Sr 0.3333 0.6667 0.5812
5 Sr 0.6667 0.3333 0.4188
6 Ca 0.3333 0.6667 0.1255
7 Ca 0.6667 0.3333 0.8745
8 Tl 0.3333 0.6667 0.3490
9 Tl 0.3333 0.6667 0.8739
10 Tl 0.6667 0.3333 0.1261
11 Tl 0.6667 0.3333 0.6510

The 8 most intense peaks (10 to 90 degrees two-theta), by angle:
2theta	d (Å)	I_rel
21.13	4.205	50
25.10	3.548	18
29.83	2.995	71
30.27	2.952	100
39.05	2.306	14
43.02	2.102	26
53.51	1.713	28
53.78	1.704	20


No. 3
Starting from a structure optimized by DFT (PBE), the X-ray powder pattern of Ba2CaTa was computed for Cu Kα (λ = 1.5418 Å).
Intensities are scaled so that the largest is 100.

Atomic structure:
a b c (Å): 6.5400 6.5400 3.6066
angles (deg): 90.00 90.00 110.40
Sites, in units of the cell vectors:
1 Ba 0.0000 0.5000 0.0000
2 Ba 0.5000 0.0000 0.0000
3 Ca 0.0000 0.0000 0.5000
4 Ta 0.5000 0.5000 0.5000

The 8 most intense peaks (10 to 90 degrees two-theta), by angle:
2theta	d (Å)	I_rel
14.45	6.130	39
29.14	3.065	100
29.84	2.994	94
33.37	2.685	35
34.58	2.594	63
48.81	1.866	59
58.26	1.584	28
59.47	1.554	26


No. 4
Starting from a structure optimized by DFT (PBE), the X-ray powder pattern of BaCaTe2 was computed for Cu Kα (λ = 1.5418 Å).
Intensities are scaled so that the largest is 100.

Atomic structure:
a b c (Å): 4.7354 6.8362 9.5520
angles (deg): 90.00 90.00 90.00
Sites, in units of the cell vectors:
1 Ba 0.2500 0.2500 0.1310
2 Ba 0.7500 0.7500 0.8690
3 Ca 0.2500 0.2500 0.6201
4 Ca 0.7500 0.7500 0.3799
5 Te 0.2500 0.7500 0.1453
6 Te 0.2500 0.7500 0.6046
7 Te 0.7500 0.2500 0.3954
8 Te 0.7500 0.2500 0.8547

The 8 most intense peaks (10 to 90 degrees two-theta), by angle:
2theta	d (Å)	I_rel
26.07	3.418	54
26.51	3.363	100
37.52	2.397	79
38.00	2.368	20
46.38	1.958	19
46.67	1.946	22
60.80	1.524	19
61.45	1.509	22


No. 5
Starting from a structure optimized by DFT (PBE), the X-ray powder pattern of BaCaTe2 was computed for Cu Kα (λ = 1.5418 Å).
Intensities are scaled so that the largest is 100.

Atomic structure:
a b c (Å): 9.4584 9.4584 15.9684
angles (deg): 90.08 90.08 119.87
Sites, in units of the cell vectors:
1 Ba 0.0812 0.9130 0.8799
2 Ba 0.0870 0.9188 0.6201
3 Ba 0.0887 0.4201 0.6185
4 Ba 0.4201 0.0887 0.1185
5 Ba 0.5799 0.9113 0.8815
6 Ba 0.9113 0.5799 0.3815
7 Ba 0.9130 0.0812 0.3799
8 Ba 0.9188 0.0870 0.1201
9 Ca 0.0816 0.4170 0.8742
10 Ca 0.4149 0.5809 0.1256
11 Ca 0.4170 0.0816 0.3742
12 Ca 0.4191 0.5851 0.3744
13 Ca 0.5809 0.4149 0.6256
14 Ca 0.5830 0.9184 0.6258
15 Ca 0.5851 0.4191 0.8744
16 Ca 0.9184 0.5830 0.1258
17 Te 0.0887 0.9113 0.2500
18 Te 0.0987 0.4320 0.2474
19 Te 0.2344 0.7213 0.0061
20 Te 0.2626 0.2776 0.9914
21 Te 0.2776 0.2626 0.4914
22 Te 0.2787 0.7656 0.4939
23 Te 0.4226 0.5774 0.7500
24 Te 0.4320 0.0987 0.7474
25 Te 0.5680 0.9013 0.2526
26 Te 0.5774 0.4226 0.2500
27 Te 0.7213 0.2344 0.5061
28 Te 0.7224 0.7374 0.5086
29 Te 0.7374 0.7224 0.0086
30 Te 0.7656 0.2787 0.9939
31 Te 0.9013 0.5680 0.7526
32 Te 0.9113 0.0887 0.7500

The 8 most intense peaks (10 to 90 degrees two-theta), by angle:
2theta	d (Å)	I_rel
24.42	3.646	86
27.47	3.247	100
31.28	2.859	30
35.64	2.519	40
38.03	2.366	71
40.41	2.232	26
60.73	1.525	28
62.45	1.487	15


No. 6
Starting from a structure optimized by DFT (PBE), the X-ray powder pattern of BaCaTl was computed for Cu Kα (λ = 1.5418 Å).
Intensities are scaled so that the largest is 100.

Atomic structure:
a b c (Å): 4.7729 5.5678 9.1448
angles (deg): 90.01 90.05 90.00
Sites, in units of the cell vectors:
1 Ba 0.2497 0.2497 0.1394
2 Ba 0.7503 0.7503 0.8606
3 Ca 0.2502 0.7493 0.5061
4 Ca 0.7498 0.2507 0.4939
5 Tl 0.2504 0.2505 0.7383
6 Tl 0.7496 0.7495 0.2617

The 8 most intense peaks (10 to 90 degrees two-theta), by angle:
2theta	d (Å)	I_rel
19.41	4.572	33
24.57	3.624	100
25.20	3.534	28
31.50	2.840	90
32.15	2.784	43
33.52	2.674	38
34.93	2.569	32
37.69	2.386	28


No. 7
Starting from a structure optimized by DFT (PBE), the X-ray powder pattern of Ba2Ca12Tl7 was computed for Cu Kα (λ = 1.5418 Å).
Intensities are scaled so that the largest is 100.

Atomic structure:
a b c (Å): 14.1637 14.1637 4.2721
angles (deg): 90.00 90.00 120.00
Sites, in units of the cell vectors:
1 Ba 0.0000 0.0000 0.0000
2 Ba 0.3333 0.6667 0.5000
3 Ca 0.0500 0.2730 0.5000
4 Ca 0.1018 0.7024 0.0000
5 Ca 0.2230 0.9500 0.5000
6 Ca 0.2976 0.3994 0.0000
7 Ca 0.3993 0.1832 0.0000
8 Ca 0.5400 0.4354 0.5000
9 Ca 0.5646 0.1046 0.5000
10 Ca 0.6006 0.8982 0.0000
11 Ca 0.7270 0.7770 0.5000
12 Ca 0.7839 0.6007 0.0000
13 Ca 0.8168 0.2161 0.0000
14 Ca 0.8954 0.4600 0.5000
15 Tl 0.0878 0.4628 0.0000
16 Tl 0.2368 0.1982 0.5000
17 Tl 0.3750 0.9122 0.0000
18 Tl 0.5372 0.6250 0.0000
19 Tl 0.6667 0.3333 0.0000
20 Tl 0.8018 0.0386 0.5000
21 Tl 0.9614 0.7632 0.5000

The 8 most intense peaks (10 to 90 degrees two-theta), by angle:
2theta	d (Å)	I_rel
19.14	4.636	100
24.33	3.658	24
25.41	3.505	37
28.41	3.142	82
33.48	2.677	82
33.68	2.661	37
38.30	2.350	30
55.00	1.670	40


No. 8
Starting from a structure optimized by DFT (PBE), the X-ray powder pattern of Ba2CaTl10 was computed for Cu Kα (λ = 1.5418 Å).
Intensities are scaled so that the largest is 100.

Atomic structure:
a b c (Å): 7.0137 21.7837 6.9405
angles (deg): 90.00 90.00 90.00
Sites, in units of the cell vectors:
1 Ba 0.2361 0.0920 0.0000
2 Ba 0.2639 0.5920 0.0000
3 Ba 0.7361 0.4080 0.0000
4 Ba 0.7639 0.9080 0.0000
5 Ca 0.0000 0.0000 0.5000
6 Ca 0.5000 0.5000 0.5000
7 Tl 0.0442 0.1557 0.5000
8 Tl 0.0460 0.2971 0.5000
9 Tl 0.0939 0.5641 0.5000
10 Tl 0.2445 0.4109 0.2172
11 Tl 0.2445 0.4109 0.7828
12 Tl 0.2555 0.9109 0.2172
13 Tl 0.2555 0.9109 0.7828
14 Tl 0.4061 0.0641 0.5000
15 Tl 0.4540 0.7971 0.5000
16 Tl 0.4558 0.6557 0.5000
17 Tl 0.5442 0.3443 0.5000
18 Tl 0.5460 0.2029 0.5000
19 Tl 0.5939 0.9359 0.5000
20 Tl 0.7445 0.0891 0.2172
21 Tl 0.7445 0.0891 0.7828
22 Tl 0.7555 0.5891 0.2172
23 Tl 0.7555 0.5891 0.7828
24 Tl 0.9061 0.4359 0.5000
25 Tl 0.9540 0.7029 0.5000
26 Tl 0.9558 0.8443 0.5000

The 8 most intense peaks (10 to 90 degrees two-theta), by angle:
2theta	d (Å)	I_rel
12.75	6.941	99
16.28	5.446	54
28.52	3.130	78
29.87	2.991	100
33.17	2.701	66
34.06	2.632	62
35.59	2.522	47
36.42	2.467	44